# MgGa6Ni6
Simulated X-ray powder pattern, Cu Kα (λ = 1.5418 Å). Input: DFT lattice parameters and positions (GGA-PBE).
Kinematic intensities with the Lorentz-polarization factor, no thermal factor.

Crystal structure
```
data_MgGa6Ni6
_symmetry_space_group_name_H-M 'I m m m'
_symmetry_Int_Tables_number 71
_symmetry_space_group_name_Hall '-I 2 2'
_cell_length_a 4.992
_cell_length_b 8.129
_cell_length_c 8.678
_cell_angle_alpha 90.00
_cell_angle_beta 90.00
_cell_angle_gamma 90.00
loop_
_atom_site_label
_atom_site_type_symbol
_atom_site_fract_x
_atom_site_fract_y
_atom_site_fract_z
Mg1 Mg 0.000 0.000 0.000
Ga1 Ga 0.000 0.000 0.340
Ga2 Ga 0.000 0.333 0.000
Ga3 Ga 0.000 0.500 0.324
Ni1 Ni 0.000 0.258 0.500
Ni2 Ni 0.250 0.250 0.250
```

Most intense lines, 5° ≤ 2θ ≤ 70°, by angle:
two_theta  intensity  h k l
20.50  22.9  0 0 2
35.91  55.3  2 0 0
41.63  19.6  0 0 4
41.75  36.8  2 0 2
42.44  85.8  2 2 0
43.34  18.2  1 3 2
44.58  35.7  0 4 0
47.51  48.3  0 2 4
47.61  100.0  2 2 2
49.54  40.5  0 4 2